Starting from a PBE-relaxed structure, the XRD peak list of LaMgSnPb2 was simulated for Cu Ka.

Cell and atoms:
```
data_LaMgSnPb2
_symmetry_space_group_name_H-M 'P 4/m m m'
_symmetry_Int_Tables_number 123
_symmetry_space_group_name_Hall '-P 4 2'
_cell_length_a 5.295
_cell_length_b 5.295
_cell_length_c 6.023
_cell_angle_alpha 90.00
_cell_angle_beta 90.00
_cell_angle_gamma 90.00
loop_
_atom_site_label
_atom_site_fract_x
_atom_site_fract_y
_atom_site_fract_z
La1 0.000 0.000 0.000
Mg1 0.000 0.000 0.500
Sn1 0.500 0.500 0.000
Pb1 0.000 0.500 0.500
```

The 8 most intense peaks (2θ = 15–90°), in order of rising 2θ:
Position (°2θ)	I_rel	index
28.1	100	1 1 1
29.7	25	0 0 2
33.9	36	2 0 0
45.6	32	2 0 2
51.7	19	1 1 3
57.1	29	3 1 1
58.0	16	2 2 2
73.7	14	3 1 3